Theoretical PXRD pattern
Compound: Na8AlS6
Radiation: copper Kα
Structure: DFT lattice parameters and positions (GGA-PBE)

Structural model:
a = 7.6369 Å, b = 8.1034 Å, c = 11.8261 Å
α = 90.00°, β = 90.00°, γ = 90.00°
Sites, in units of the cell vectors:
Na1 0.0000 0.1325 0.0000
Na2 0.0000 0.2372 0.4380
Na3 0.2062 0.5698 0.7895
Na4 0.2167 0.7150 0.1109
Na5 0.2194 0.9431 0.7680
Na6 0.2806 0.0569 0.2680
Na7 0.2833 0.2850 0.6109
Na8 0.2938 0.4302 0.2895
Na9 0.5000 0.7628 0.9380
Na10 0.5000 0.8675 0.5000
Na11 0.7062 0.4302 0.2895
Na12 0.7167 0.2850 0.6109
Na13 0.7194 0.0569 0.2680
Na14 0.7806 0.9431 0.7680
Na15 0.7833 0.7150 0.1109
Na16 0.7938 0.5698 0.7895
Al1 0.0000 0.7466 0.4878
Al2 0.5000 0.2534 0.9878
S1 0.0000 0.2581 0.2158
S2 0.0000 0.5093 0.5903
S3 0.0000 0.7833 0.9309
S4 0.0000 0.9859 0.5861
S5 0.2099 0.7469 0.3496
S6 0.2901 0.2531 0.8496
S7 0.5000 0.0141 0.0861
S8 0.5000 0.2167 0.4309
S9 0.5000 0.4907 0.0903
S10 0.5000 0.7419 0.7158
S11 0.7099 0.2531 0.8496
S12 0.7901 0.7469 0.3496

The 6 most intense peaks (2θ = 5–70°), sorted by position:
index	2θ/deg	d/Å	Rel. int.
0 2 0	21.94	4.051	42
1 2 1	26.01	3.426	69
2 1 1	26.89	3.316	54
2 0 2	27.81	3.208	95
2 3 1	41.66	2.168	61
2 2 4	44.75	2.025	100